(1)
The following is a calculated X-ray diffraction stick pattern of Pr3Pt2Au. It was derived from a crystal structure in Alexandria, relaxed with PBE, using Cu Kα, 1.54184 Å.
Neutral-atom scattering factors, no anomalous dispersion.

Cell and atoms:
Cell: 7.4442 7.4442 8.4967 Å, 106.53 106.53 47.98°
Positions (direct):
Pr1 0.0016 0.9984 0.7500
Pr2 0.3212 0.3222 0.9107
Pr3 0.3222 0.3212 0.4107
Pr4 0.6778 0.6788 0.5893
Pr5 0.6788 0.6778 0.0893
Pr6 0.9984 0.0016 0.2500
Pt1 0.1624 0.1634 0.5814
Pt2 0.1634 0.1624 0.0814
Pt3 0.8366 0.8376 0.9186
Pt4 0.8376 0.8366 0.4186
Au1 0.4984 0.5016 0.2500
Au2 0.5016 0.4984 0.7500

Principal peaks in the range 10° ≤ 2θ ≤ 80°, by angle:
- 29.52°, 3.026 Å, I 100
- 41.94°, 2.154 Å, I 12
- 42.24°, 2.140 Å, I 51
- 42.56°, 2.124 Å, I 13
- 52.11°, 1.755 Å, I 13
- 52.64°, 1.739 Å, I 14
- 61.27°, 1.513 Å, I 12
- 69.46°, 1.353 Å, I 23

---

(2)
The following is a calculated X-ray diffraction stick pattern of RbPrAu10. It was derived from a crystal structure in Alexandria, relaxed with PBE, using Cu Kα, 1.54184 Å.
Neutral-atom scattering factors, no anomalous dispersion.

Cell and atoms:
Cell: 4.6562 5.7012 10.0306 Å, 90.00 90.00 90.00°
Positions (direct):
Rb1 0.0000 0.0000 0.0000
Pr1 0.0000 0.5000 0.5000
Au1 0.0000 0.0000 0.3406
Au2 0.0000 0.0000 0.6594
Au3 0.0000 0.5000 0.1794
Au4 0.0000 0.5000 0.8206
Au5 0.5000 0.0000 0.5000
Au6 0.5000 0.2558 0.2595
Au7 0.5000 0.2558 0.7405
Au8 0.5000 0.5000 0.0000
Au9 0.5000 0.7442 0.2595
Au10 0.5000 0.7442 0.7405

Principal peaks in the range 10° ≤ 2θ ≤ 80°, by angle:
- 17.90°, 4.957 Å, I 43
- 36.25°, 2.478 Å, I 26
- 36.65°, 2.452 Å, I 100
- 36.97°, 2.431 Å, I 49
- 38.68°, 2.328 Å, I 53
- 40.87°, 2.208 Å, I 31
- 41.27°, 2.188 Å, I 69
- 77.93°, 1.226 Å, I 26

---

(3)
The following is a calculated X-ray diffraction stick pattern of Pr2RhAu3. It was derived from a crystal structure in Alexandria, relaxed with PBE, using Cu Kα, 1.54184 Å.
Neutral-atom scattering factors, no anomalous dispersion.

Cell and atoms:
Cell: 3.7587 4.8884 7.7798 Å, 90.00 90.00 90.00°
Positions (direct):
Pr1 0.0000 0.0000 0.0000
Pr2 0.0000 0.5000 0.4671
Rh1 0.5000 0.0000 0.2860
Au1 0.5000 0.0000 0.6343
Au2 0.5000 0.5000 0.1527
Au3 0.5000 0.5000 0.8012

Principal peaks in the range 10° ≤ 2θ ≤ 80°, by angle:
- 23.67°, 3.759 Å, I 24
- 32.17°, 2.783 Å, I 100
- 33.14°, 2.703 Å, I 56
- 36.77°, 2.444 Å, I 45
- 39.33°, 2.291 Å, I 70
- 50.33°, 1.813 Å, I 35
- 64.09°, 1.453 Å, I 34
- 67.95°, 1.379 Å, I 29